Starting from a GGA+U-relaxed structure, the XRD peak list of CaV2O5 was simulated for Cu Kα X-rays.

Top 10 peaks for 15° ≤ 2θ ≤ 90°, by intensity:
| 2θ (°) | I_rel | hkl |
| --- | --- | --- |
| 30.35 | 100 | 1 0 1 |
| 29.11 | 89 | 0 3 1 |
| 17.49 | 85 | 0 0 1 |
| 33.99 | 71 | 1 3 0 |
| 23.34 | 50 | 0 2 1 |
| 50.45 | 40 | 2 0 0 |
| 46.48 | 38 | 1 2 2 |
| 31.35 | 35 | 1 1 1 |
| 47.18 | 30 | 0 6 0 |
| 54.42 | 30 | 1 4 2 |

a = 3.6178 Å, b = 11.5572 Å, c = 5.0693 Å
α = 90.00°, β = 90.00°, γ = 90.00°
Space group Pmmn (No. 59, origin choice 2)
Unique sites:
1 Ca 0.2500 0.2500 0.1484 [2 per cell]
2 V 0.2500 0.5976 0.3942 [4 per cell]
3 O 0.2500 0.0742 0.4590 [4 per cell]
4 O 0.2500 0.6270 0.0678 [4 per cell]
5 O 0.2500 0.7500 0.5552 [2 per cell]